Starting from a cell relaxed with PBE, the powder XRD pattern of Ba2MgTiO4 was calculated for Cu Ka.
Kinematic intensities with the Lorentz-polarization factor, no thermal factor.

Principal peaks in the range 2θ from 10° to 90°, by intensity:
2θ (°)  Rel. int.
28.46  100
24.81  77
33.43  62
23.89  56
37.21  34
15.86  32
48.01  30
41.51  30

Cell and atoms:
Unit cell a=3.7902 b=3.7902 c=11.1729 alpha=90.04 beta=90.04 gamma=90.04
Element x y z (fractional)
Ba  0.0000  0.0000  0.0000
Ba  0.5016  0.5016  0.6220
Mg  0.4993  0.4993  0.2424
Ti  0.9995  0.9995  0.3750
O  0.0011  0.0011  0.5385
O  0.4995  0.4995  0.0675
O  0.4995  0.9994  0.3180
O  0.9994  0.4995  0.3180

***

Starting from a cell relaxed with PBE, the powder XRD pattern of Ba2MgTiO4 was calculated for Cu Ka.
Kinematic intensities with the Lorentz-polarization factor, no thermal factor.

Principal peaks in the range 2θ from 10° to 90°, by intensity:
2θ (°)  Rel. int.
28.34  100
32.07  88
22.52  79
34.33  71
25.57  54
49.34  53
36.50  47
45.98  44

Cell and atoms:
Unit cell a=3.9475 b=10.4504 c=3.9475 alpha=90.00 beta=90.00 gamma=90.00
Element x y z (fractional)
Ba  0.0000  0.2045  0.0000
Ba  0.0000  0.7955  0.0000
Mg  0.0000  0.5000  0.0043
Ti  0.5000  0.5000  0.5038
O  0.0000  0.5000  0.5042
O  0.5000  0.3039  0.5026
O  0.5000  0.5000  0.0036
O  0.5000  0.6961  0.5026